Entry 1:
# InNi6Ir
Computed X-ray powder pattern, Cu Kα (weighted mean of Kα1 and Kα2). Input: a structure optimized by DFT (GGA-PBE).
Neutral-atom scattering factors, no anomalous dispersion.

Most intense lines, 2θ from 15° to 90°, sorted by position:
2θ 24.2, I 21.0
2θ 34.4, I 17.1
2θ 42.5, I 100.0
2θ 49.5, I 31.6
2θ 72.7, I 18.7
2θ 87.9, I 22.6

Structure:
```
InNi6Ir
1.0
3.6730 -5.2121 0.0000
3.6730 5.2121 0.0000
0.0000 0.0000 10.4276
In Ni Ir
4 24 4
Cartesian
0.0000 0.0000 2.5909
0.0000 0.0000 7.8367
3.6730 2.6507 5.2138
3.6730 -2.6507 5.2138
0.0000 0.0000 0.0000
0.0000 0.0000 5.2138
1.8887 1.3278 1.2652
1.8887 1.3278 9.1624
1.8944 1.2821 3.8655
1.8944 1.2821 6.5621
3.6730 2.5569 2.5322
3.6730 2.5569 7.8954
1.8944 -1.2821 3.8655
1.8944 -1.2821 6.5621
1.8887 -1.3278 1.2652
1.8887 -1.3278 9.1624
3.6730 0.0000 0.0000
3.6730 0.0000 5.2138
5.4572 1.3278 1.2652
5.4572 1.3278 9.1624
5.4516 1.2821 3.8655
5.4516 1.2821 6.5621
3.6730 -2.5569 2.5322
3.6730 -2.5569 7.8954
5.4516 -1.2821 3.8655
5.4516 -1.2821 6.5621
5.4572 -1.3278 1.2652
5.4572 -1.3278 9.1624
3.6730 2.6721 0.0000
3.6730 0.0000 2.5947
3.6730 0.0000 7.8329
3.6730 -2.6721 0.0000
```


Entry 2:
# SrPa2P2N6
Computed X-ray powder pattern, Cu Kα (weighted mean of Kα1 and Kα2). Input: a structure optimized by DFT (GGA-PBE).
Neutral-atom scattering factors, no anomalous dispersion.

Most intense lines, 2θ from 15° to 90°, sorted by position:
2θ 15.2, I 69.3
2θ 22.8, I 60.2
2θ 29.6, I 100.0
2θ 33.4, I 54.2
2θ 35.2, I 78.5
2θ 56.2, I 49.5

Structure:
```
SrPa2P2N6
1.0
6.0325 0.0000 0.0000
-3.0163 5.2243 0.0000
0.0000 0.0000 5.8399
Sr Pa P N
1 2 2 6
Cartesian
0.0000 0.0000 0.0000
0.0000 3.4829 5.0461
3.0163 1.7414 0.7937
0.0000 3.4829 1.9775
3.0163 1.7414 3.8623
-0.8847 2.2230 1.2061
-0.6487 4.8790 1.2061
1.4828 1.8777 4.6338
1.5335 3.3466 1.2061
3.6650 0.3453 4.6338
3.9010 3.0013 4.6338
```


Entry 3:
# ErCo2H8
Computed X-ray powder pattern, Cu Kα (weighted mean of Kα1 and Kα2). Input: a structure optimized by DFT (GGA-PBE).
Neutral-atom scattering factors, no anomalous dispersion.

Most intense lines, 2θ from 15° to 90°, sorted by position:
2θ 22.0, I 58.7
2θ 29.2, I 61.0
2θ 36.9, I 100.0
2θ 44.9, I 46.1
2θ 60.7, I 23.2
2θ 77.4, I 21.7

Structure:
```
ErCo2H8
1.0
4.0441 0.0000 0.0000
0.0000 4.0441 0.0000
0.0000 0.0000 4.6574
Er Co H
1 2 8
Cartesian
0.0000 0.0000 0.0000
0.0000 2.0220 2.3287
2.0220 0.0000 2.3287
1.1440 1.1440 1.4575
1.1440 1.1440 3.1999
1.1440 2.9000 1.4575
1.1440 2.9000 3.1999
2.9000 1.1440 1.4575
2.9000 1.1440 3.1999
2.9000 2.9000 1.4575
2.9000 2.9000 3.1999
```


Entry 4:
# Na4Sr2SiAs4
Computed X-ray powder pattern, Cu Kα (weighted mean of Kα1 and Kα2). Input: a structure optimized by DFT (GGA-PBE).
Neutral-atom scattering factors, no anomalous dispersion.

Most intense lines, 2θ from 15° to 90°, sorted by position:
2θ 24.7, I 25.9
2θ 30.8, I 25.2
2θ 31.9, I 44.8
2θ 32.2, I 47.9
2θ 32.4, I 44.0
2θ 37.5, I 100.0

Structure:
```
Na4Sr2SiAs4
1.0
4.8061 -8.3112 0.0000
4.8061 8.3112 0.0000
-0.1466 0.0000 7.4875
Na Sr Si As
8 4 2 8
Cartesian
1.8735 2.4588 3.5367
4.7328 7.1089 3.7437
3.8965 4.3966 5.9515
3.9137 1.2978 7.1825
1.8002 -2.4588 7.2805
3.9870 -1.2978 3.4388
3.9698 -4.3966 2.2077
4.8061 -7.1089 0.0000
4.7372 3.9802 2.2327
6.8166 0.4108 2.2544
4.6639 -3.9802 5.9764
6.7433 -0.4108 5.9981
6.6711 2.7733 5.1082
6.7443 -2.7733 1.3645
4.0075 6.6933 0.6937
2.0337 3.2579 0.6275
4.7182 1.5825 4.3014
1.9604 -3.2579 4.3713
6.8229 2.7061 0.0571
4.7915 -1.5825 0.5577
3.9342 -6.6933 4.4374
6.7496 -2.7061 3.8008
```


Entry 5:
# PrSm6Te8
Computed X-ray powder pattern, Cu Kα (weighted mean of Kα1 and Kα2). Input: a structure optimized by DFT (GGA-PBE).
Neutral-atom scattering factors, no anomalous dispersion.

Most intense lines, 2θ from 15° to 90°, sorted by position:
2θ 28.5, I 100.0
2θ 40.7, I 75.7
2θ 50.4, I 26.9
2θ 59.0, I 12.5
2θ 66.8, I 34.2
2θ 74.1, I 25.0

Structure:
```
PrSm6Te8
1.0
0.0000 6.2665 6.2665
6.2665 0.0000 6.2665
6.2665 6.2665 0.0000
Pr Sm Te
1 6 8
Cartesian
0.0000 0.0000 0.0000
3.1333 3.1333 0.0000
3.1333 0.0000 3.1333
6.2665 3.1333 3.1333
0.0000 3.1333 3.1333
3.1333 6.2665 3.1333
3.1333 3.1333 6.2665
3.1333 3.1333 3.1333
6.2665 6.2665 3.2482
6.2665 3.2482 6.2665
9.2848 6.2665 6.2665
3.2482 6.2665 6.2665
6.2665 9.2848 6.2665
6.2665 6.2665 9.2848
9.3998 9.3998 9.3998
```


Entry 6:
# Y2NiH2
Computed X-ray powder pattern, Cu Kα (weighted mean of Kα1 and Kα2). Input: a structure optimized by DFT (GGA-PBE).
Neutral-atom scattering factors, no anomalous dispersion.

Most intense lines, 2θ from 15° to 90°, sorted by position:
2θ 26.6, I 10.7
2θ 33.7, I 100.0
2θ 36.6, I 48.9
2θ 44.9, I 16.5
2θ 52.7, I 17.2
2θ 64.0, I 29.0

Structure:
```
Y2NiH2
1.0
3.4756 0.0000 0.0000
0.0000 3.4756 0.0000
0.0000 0.0000 12.3980
Y Ni H
4 2 4
Cartesian
0.0000 0.0000 1.7042
0.0000 0.0000 10.6938
1.7378 1.7378 4.4948
1.7378 1.7378 7.9032
0.0000 0.0000 6.1990
1.7378 1.7378 0.0000
0.0000 1.7378 3.0995
0.0000 1.7378 9.2985
1.7378 0.0000 3.0995
1.7378 0.0000 9.2985
```


Entry 7:
# Zr10Ir3Pt3
Computed X-ray powder pattern, Cu Kα (weighted mean of Kα1 and Kα2). Input: a structure optimized by DFT (GGA-PBE).
Neutral-atom scattering factors, no anomalous dispersion.

Most intense lines, 2θ from 15° to 90°, sorted by position:
2θ 27.2, I 32.4
2θ 32.8, I 27.2
2θ 37.4, I 100.0
2θ 38.0, I 43.5
2θ 39.7, I 60.6
2θ 49.2, I 33.7

Structure:
```
Zr10Ir3Pt3
1.0
8.1956 0.0000 0.0000
-4.0978 7.0976 0.0000
0.0000 0.0000 5.4537
Zr Ir Pt
10 3 3
Cartesian
-1.0025 1.7365 0.0000
-3.1033 5.3751 2.7268
0.9945 1.7226 2.7268
2.0051 0.0000 0.0000
0.0000 4.7318 1.3787
0.0000 4.7318 4.0750
4.0978 2.3659 1.3787
4.0978 2.3659 4.0750
3.0953 5.3612 0.0000
6.2066 0.0000 2.7268
-1.6159 2.7989 2.7268
3.2319 0.0000 2.7268
2.4819 4.2988 2.7268
-2.4670 4.2729 0.0000
1.6308 2.8247 0.0000
4.9339 0.0000 0.0000
```


Entry 8:
# KPd2RhF8
Computed X-ray powder pattern, Cu Kα (weighted mean of Kα1 and Kα2). Input: a structure optimized by DFT (GGA-PBE).
Neutral-atom scattering factors, no anomalous dispersion.

Most intense lines, 2θ from 15° to 90°, sorted by position:
2θ 19.1, I 21.1
2θ 23.0, I 100.0
2θ 32.6, I 22.1
2θ 32.8, I 38.9
2θ 52.8, I 17.7
2θ 53.0, I 18.9

Structure:
```
KPd2RhF8
1.0
2.7283 1.5752 8.9938
-2.7283 1.5752 8.9938
0.0000 -3.1504 8.9938
K Pd Rh F
1 2 1 8
Cartesian
0.0000 0.0000 0.0000
0.0000 0.0000 7.0811
0.0000 0.0000 19.9003
0.0000 0.0000 13.4907
-1.1860 -0.9803 12.2563
0.0000 0.0000 9.0947
-0.2560 -1.5172 14.7251
-1.1860 0.9803 14.7251
-0.2560 1.5172 12.2563
1.4420 -0.5369 12.2563
0.0000 0.0000 17.8867
1.4420 0.5369 14.7251
```


Entry 9:
# LaTm8Th4
Computed X-ray powder pattern, Cu Kα (weighted mean of Kα1 and Kα2). Input: a structure optimized by DFT (GGA-PBE).
Neutral-atom scattering factors, no anomalous dispersion.

Most intense lines, 2θ from 15° to 90°, sorted by position:
2θ 30.4, I 32.8
2θ 31.3, I 100.0
2θ 32.9, I 48.3
2θ 39.4, I 30.9
2θ 49.8, I 29.9
2θ 59.5, I 25.5

Structure:
```
LaTm8Th4
1.0
3.6592 2.1126 8.8209
-3.6592 2.1126 8.8209
0.0000 -4.2252 8.8209
La Tm Th
1 8 4
Cartesian
0.0000 0.0000 0.0000
0.0000 -1.8530 10.5004
-1.6047 0.9265 10.5004
0.0000 0.0000 7.3760
-1.6047 -0.9265 15.9621
1.6047 0.9265 10.5004
0.0000 0.0000 19.0866
1.6047 -0.9265 15.9621
0.0000 1.8530 15.9621
-3.6592 0.0000 13.2313
-1.8296 1.0563 4.4104
1.8296 1.0563 4.4104
0.0000 0.0000 13.2313
```


Entry 10:
# Na3Tb3PaTe8
Computed X-ray powder pattern, Cu Kα (weighted mean of Kα1 and Kα2). Input: a structure optimized by DFT (GGA-PBE).
Neutral-atom scattering factors, no anomalous dispersion.

Most intense lines, 2θ from 15° to 90°, sorted by position:
2θ 23.5, I 17.1
2θ 28.0, I 100.0
2θ 39.4, I 38.7
2θ 40.7, I 37.1
2θ 50.2, I 20.0
2θ 66.5, I 17.0

Structure:
```
Na3Tb3PaTe8
1.0
4.4316 2.5586 7.6025
-4.4316 2.5586 7.6025
0.0000 -5.1172 7.6025
Na Tb Pa Te
3 3 1 8
Cartesian
-2.2158 -1.2793 7.6025
-2.2158 1.2793 15.2049
0.0000 2.5586 7.6025
-4.4316 0.0000 11.4037
-2.2158 1.2793 3.8012
2.2158 1.2793 3.8012
0.0000 0.0000 11.4037
-2.2202 -1.2818 13.1630
0.0000 0.0000 5.5756
0.0000 -2.5636 9.6444
-2.2202 1.2818 9.6444
2.2201 -1.2818 13.1630
0.0000 2.5636 13.1630
0.0000 0.0000 17.2318
2.2201 1.2818 9.6444
```


Entry 11:
# BaIn2Te4
Computed X-ray powder pattern, Cu Kα (weighted mean of Kα1 and Kα2). Input: a structure optimized by DFT (GGA-PBE).
Neutral-atom scattering factors, no anomalous dispersion.

Most intense lines, 2θ from 15° to 90°, sorted by position:
2θ 26.0, I 100.0
2θ 28.9, I 43.8
2θ 32.3, I 94.9
2θ 41.3, I 23.6
2θ 44.4, I 23.3
2θ 44.6, I 35.0

Structure:
```
BaIn2Te4
1.0
8.7297 0.0000 0.0000
0.0000 8.7297 0.0000
0.0000 0.0000 7.1693
Ba In Te
2 4 8
Cartesian
0.0000 0.0000 0.0000
4.3649 4.3649 3.5847
0.0000 4.3649 0.0000
0.0000 4.3649 3.5847
4.3649 0.0000 0.0000
4.3649 0.0000 3.5847
1.5660 2.7989 1.7923
1.5660 5.9308 5.3770
2.7989 1.5660 5.3770
2.7989 7.1638 1.7923
5.9308 1.5660 1.7923
5.9308 7.1638 5.3770
7.1638 2.7989 5.3770
7.1638 5.9308 1.7923
```


Entry 12:
# TbEuInAu
Computed X-ray powder pattern, Cu Kα (weighted mean of Kα1 and Kα2). Input: a structure optimized by DFT (GGA-PBE).
Neutral-atom scattering factors, no anomalous dispersion.

Most intense lines, 2θ from 15° to 90°, sorted by position:
2θ 20.4, I 3.6
2θ 33.6, I 100.0
2θ 48.3, I 18.1
2θ 60.2, I 37.5
2θ 70.7, I 11.6
2θ 80.6, I 16.4

Structure:
```
TbEuInAu
1.0
7.5350 0.0000 0.0000
0.0000 7.5350 0.0000
0.0000 0.0000 7.5350
Tb Eu In Au
4 4 4 4
Cartesian
0.0000 0.0000 0.0000
0.0000 3.7675 3.7675
3.7675 0.0000 3.7675
3.7675 3.7675 0.0000
0.0000 0.0000 3.7675
0.0000 3.7675 0.0000
3.7675 0.0000 0.0000
3.7675 3.7675 3.7675
1.8837 1.8837 5.6512
1.8837 5.6512 1.8837
5.6512 1.8837 1.8837
5.6512 5.6512 5.6512
1.8837 1.8837 1.8837
1.8837 5.6512 5.6512
5.6512 1.8837 5.6512
5.6512 5.6512 1.8837
```


Entry 13:
# Ti3Al3Co2Mo
Computed X-ray powder pattern, Cu Kα (weighted mean of Kα1 and Kα2). Input: a structure optimized by DFT (GGA-PBE).
Neutral-atom scattering factors, no anomalous dispersion.

Most intense lines, 2θ from 15° to 90°, sorted by position:
2θ 24.3, I 42.3
2θ 34.3, I 39.3
2θ 39.9, I 47.9
2θ 42.5, I 51.4
2θ 42.8, I 100.0
2θ 49.6, I 43.7

Structure:
```
Ti3Al3Co2Mo
1.0
7.3249 0.0000 0.0000
-3.6624 6.3435 0.0000
0.0000 0.0000 2.8680
Ti Al Co Mo
3 3 2 1
Cartesian
-2.5466 4.4109 0.0000
1.1158 1.9326 0.0000
5.0933 0.0000 0.0000
-1.3570 2.3504 1.4340
2.7140 0.0000 1.4340
2.3054 3.9931 1.4340
0.0000 4.2290 0.0000
3.6624 2.1145 0.0000
0.0000 0.0000 1.4340
```